This entry pairs a crystal structure of Rb3Tl3As2 with its simulated powder X-ray diffraction pattern. Radiation: λ = 1.5418 Å (Cu Kα). Structure: a cell relaxed with PBE.
Neutral-atom scattering factors, no anomalous dispersion.

Cell and atoms:
```
data_Rb3Tl3As2
_chemical_formula_sum 'Rb12 Tl12 As8'
_space_group_name_H-M_alt 'P n m a'
_space_group_IT_number 62
_space_group_name_Hall '-P 2ac 2n'
_cell_length_a 9.6674
_cell_length_b 17.6693
_cell_length_c 7.1684
_cell_angle_alpha 90.00
_cell_angle_beta 90.00
_cell_angle_gamma 90.00
loop_
_atom_site_label
_atom_site_type_symbol
_atom_site_fract_x
_atom_site_fract_y
_atom_site_fract_z
Rb1 Rb 0.0485 0.1074 0.0557
Rb2 Rb 0.2098 0.2500 0.6387
Tl1 Tl 0.1272 0.7500 0.6522
Tl2 Tl 0.1750 0.0362 0.5167
As1 As 0.0816 0.6188 0.4250
```

Largest 10 diffraction maxima, in order of rising 2θ, 10° ≤ 2θ ≤ 80°:
2θ = 15.39°, I = 66, (1 0 1)
2θ = 23.81°, I = 50, (2 3 0)
2θ = 24.84°, I = 55, (0 0 2)
2θ = 26.84°, I = 70, (0 2 2)
2θ = 27.35°, I = 58, (2 4 0)
2θ = 29.66°, I = 58, (1 5 1)
2θ = 30.11°, I = 45, (2 4 1)
2θ = 30.40°, I = 100, (3 0 1)
2θ = 30.63°, I = 45, (1 3 2)
2θ = 38.96°, I = 58, (1 7 1)